[1]
For K2ZnH5, the PBE geometry in Alexandria gives the computed X-ray powder pattern in this record (Cu Kα (λ = 1.5418 Å)).
Intensities are scaled so that the largest is 1000.

Largest 10 diffraction maxima, in order of rising 2θ, 15 to 90 degrees two-theta:
two_theta  Rel. int.
19.11  859
31.32  514
31.52  1000
36.95  290
37.30  145
44.89  195
49.48  121
55.88  341
56.26  146
65.81  91

```
K2ZnH5
1.0
-2.8557 2.8557 3.9891
2.8557 -2.8557 3.9891
2.8557 2.8557 -3.9891
K Zn H
2 1 5
Cartesian
2.8557 0.0000 0.0000
0.0000 2.8557 0.0000
0.0000 0.0000 2.2594
1.7027 1.7027 -2.1361
1.1530 -1.1530 1.8530
-1.1530 1.1530 1.8530
1.1530 1.1530 1.8530
0.0000 0.0000 3.9134
```

=====

[2]
For La8H, the PBE geometry in Alexandria gives the computed X-ray powder pattern in this record (Cu Kα (λ = 1.5418 Å)).
Intensities are scaled so that the largest is 1000.

Largest 10 diffraction maxima, in order of rising 2θ, 15 to 90 degrees two-theta:
two_theta  Rel. int.
27.30  234
29.36  249
31.08  1000
40.52  160
48.26  197
53.16  203
57.50  223
58.52  164
74.61  74
79.16  135

```
La8H
1.0
7.5435 0.0000 0.0000
-3.7717 6.5328 0.0000
0.0000 0.0000 6.0842
La H
8 1
Cartesian
0.0000 2.1605 1.5022
-1.9007 5.4526 1.5022
1.8711 1.0803 4.5819
0.0000 4.3552 4.3720
3.7717 2.1776 1.7122
1.9007 5.4526 1.5022
5.6724 1.0803 4.5819
3.7717 4.3723 4.5819
0.0000 0.0000 3.0421
```

=====

[3]
For LaH2, the PBE geometry in Alexandria gives the computed X-ray powder pattern in this record (Cu Kα (λ = 1.5418 Å)).
Intensities are scaled so that the largest is 1000.

Largest 9 diffraction maxima, in order of rising 2θ, 15 to 90 degrees two-theta:
two_theta  Rel. int.
27.43  1000
31.77  488
45.55  388
53.99  454
56.60  128
66.39  62
73.25  182
75.48  165
84.21  129

```
LaH2
1.0
0.0000 2.8164 2.8164
2.8164 0.0000 2.8164
2.8164 2.8164 0.0000
La H
1 2
Cartesian
0.0000 0.0000 0.0000
1.4082 1.4082 1.4082
4.2245 4.2245 4.2245
```

=====

[4]
For LaH3, the PBE geometry in Alexandria gives the computed X-ray powder pattern in this record (Cu Kα (λ = 1.5418 Å)).
Intensities are scaled so that the largest is 1000.

Largest 10 diffraction maxima, in order of rising 2θ, 15 to 90 degrees two-theta:
two_theta  Rel. int.
27.94  1000
31.68  181
32.72  332
46.18  272
46.95  129
54.16  159
55.52  296
57.75  131
74.45  123
86.70  87

```
LaH3
1.0
-1.9353 1.9353 2.8248
1.9353 -1.9353 2.8248
1.9353 1.9353 -2.8248
La H
1 3
Cartesian
0.0000 0.0000 0.0000
1.9353 0.0000 1.4124
0.0000 0.0000 2.8248
0.0000 1.9353 1.4124
```